1.
Structure and simulated powder X-ray diffraction pattern of Sm6Tl2Rh (a crystal structure in Alexandria, relaxed with PBE; Cu Kα (λ = 1.5418 Å)).
Neutral-atom scattering factors, no anomalous dispersion.

Crystal structure
```
data_Sm6Tl2Rh
_chemical_formula_sum 'Sm12 Tl4 Rh2'
_cell_length_a 3.8694
_cell_length_b 15.3468
_cell_length_c 8.8634
_cell_angle_alpha 90.00
_cell_angle_beta 90.00
_cell_angle_gamma 90.00
_symmetry_space_group_name_H-M 'A m m 2'
_symmetry_Int_Tables_number 38
_symmetry_space_group_name_Hall 'A 2 -2'
loop_
_atom_site_label
_atom_site_type_symbol
_atom_site_fract_x
_atom_site_fract_y
_atom_site_fract_z
Sm1 Sm 0.0000 0.0000 0.0000
Sm2 Sm 0.0000 0.1203 0.6383
Sm3 Sm 0.5000 0.0000 0.3603
Sm4 Sm 0.5000 0.1992 0.9578
Tl1 Tl 0.0000 0.1667 0.2586
Rh1 Rh 0.5000 0.0000 0.7593
```

Peak list (12 most intense, 2θ from 10° to 90°, by angle)
hkl	2θ (°)	I (rel.)
1 0 2	30.68	100
0 5 1	30.82	68
1 2 2	32.87	81
0 3 3	35.08	52
1 5 1	38.80	46
2 0 0	46.97	21
1 7 1	48.83	14
0 6 4	54.82	15
2 5 1	57.24	24
1 8 2	57.51	37
2 3 3	59.95	22
1 6 4	60.22	24

2.
Structure and simulated powder X-ray diffraction pattern of Ca3Ac3In4 (a crystal structure in Alexandria, relaxed with PBE; Cu Kα (λ = 1.5418 Å)).
Neutral-atom scattering factors, no anomalous dispersion.

Crystal structure
```
data_Ca3Ac3In4
_chemical_formula_sum 'Ca6 Ac6 In8'
_cell_length_a 4.8419
_cell_length_b 12.2072
_cell_length_c 12.0606
_cell_angle_alpha 90.00
_cell_angle_beta 90.00
_cell_angle_gamma 90.00
_symmetry_space_group_name_H-M 'A m m 2'
_symmetry_Int_Tables_number 38
_symmetry_space_group_name_Hall 'A 2 -2'
loop_
_atom_site_label
_atom_site_type_symbol
_atom_site_fract_x
_atom_site_fract_y
_atom_site_fract_z
Ca1 Ca 0.0000 0.0000 0.0000
Ca2 Ca 0.5000 0.2500 0.0781
Ac1 Ac 0.0000 0.0000 0.6609
Ac2 Ac 0.0000 0.1698 0.3248
In1 In 0.5000 0.0000 0.1967
In2 In 0.5000 0.0000 0.4551
In3 In 0.5000 0.1231 0.8342
```

Peak list (12 most intense, 2θ from 10° to 90°, by angle)
hkl	2θ (°)	I (rel.)
0 1 1	10.31	15
0 0 2	14.69	32
0 2 2	20.71	14
1 2 2	27.78	30
1 3 1	29.62	100
1 1 3	29.80	77
0 4 2	32.89	20
0 2 4	33.14	21
2 0 0	37.14	25
0 4 4	42.13	14
2 2 4	50.61	13
1 3 7	61.50	17

3.
Structure and simulated powder X-ray diffraction pattern of TbAg2Hg4 (a crystal structure in Alexandria, relaxed with PBE; Cu Kα (λ = 1.5418 Å)).
Neutral-atom scattering factors, no anomalous dispersion.

Crystal structure
```
data_TbAg2Hg4
_chemical_formula_sum 'Tb1 Ag2 Hg4'
_cell_length_a 4.8642
_cell_length_b 4.8642
_cell_length_c 7.1285
_cell_angle_alpha 90.00
_cell_angle_beta 90.00
_cell_angle_gamma 90.00
_symmetry_space_group_name_H-M 'P 4/m m m'
_symmetry_Int_Tables_number 123
_symmetry_space_group_name_Hall '-P 4 2'
loop_
_atom_site_label
_atom_site_type_symbol
_atom_site_fract_x
_atom_site_fract_y
_atom_site_fract_z
Tb1 Tb 0.0000 0.0000 0.0000
Ag1 Ag 0.0000 0.0000 0.5000
Ag2 Ag 0.5000 0.5000 0.0000
Hg1 Hg 0.0000 0.5000 0.2755
```

Peak list (12 most intense, 2θ from 10° to 90°, by angle)
hkl	2θ (°)	I (rel.)
0 0 2	24.98	7
1 1 0	25.90	15
1 1 1	28.82	11
1 1 2	36.30	100
2 0 0	36.96	51
0 0 4	51.26	8
2 2 0	53.27	18
2 0 3	53.95	7
2 0 4	64.86	15
3 1 2	66.17	35
2 2 4	77.06	9
3 3 2	89.88	8

4.
Structure and simulated powder X-ray diffraction pattern of Pm2SmAg3 (a crystal structure in Alexandria, relaxed with PBE; Cu Kα (λ = 1.5418 Å)).
Neutral-atom scattering factors, no anomalous dispersion.

Crystal structure
```
data_Pm2SmAg3
_chemical_formula_sum 'Pm2 Sm1 Ag3'
_cell_length_a 3.7127
_cell_length_b 3.7127
_cell_length_c 11.2411
_cell_angle_alpha 90.00
_cell_angle_beta 90.00
_cell_angle_gamma 90.00
_symmetry_space_group_name_H-M 'P 4/m m m'
_symmetry_Int_Tables_number 123
_symmetry_space_group_name_Hall '-P 4 2'
loop_
_atom_site_label
_atom_site_type_symbol
_atom_site_fract_x
_atom_site_fract_y
_atom_site_fract_z
Pm1 Pm 0.0000 0.0000 0.1673
Sm1 Sm 0.0000 0.0000 0.5000
Ag1 Ag 0.5000 0.5000 0.0000
Ag2 Ag 0.5000 0.5000 0.3354
```

Peak list (12 most intense, 2θ from 10° to 90°, by angle)
hkl	2θ (°)	I (rel.)
0 0 3	23.75	1
1 0 0	23.97	2
1 0 3	33.99	100
1 1 0	34.15	49
0 0 6	48.60	9
2 0 0	49.08	17
1 1 6	60.73	18
2 1 3	61.04	36
2 0 6	71.55	11
2 2 0	71.93	5
1 0 9	81.27	8
3 1 0	82.04	15